For Na2SmSi4, a DFT-relaxed cell (GGA-PBE, Alexandria) gives the computed XRD peak list in this record (Cu Kα X-rays).
Lines closer than 0.1° are merged.

The 6 most intense peaks (2θ = 15–90°), by angle:
2θ = 26.63°, d = 3.348 Å, intensity 33.9
2θ = 28.88°, d = 3.091 Å, intensity 31.1
2θ = 30.99°, d = 2.886 Å, intensity 46.5
2θ = 32.24°, d = 2.776 Å, intensity 100.0
2θ = 45.64°, d = 1.988 Å, intensity 27.1
2θ = 46.83°, d = 1.940 Å, intensity 37.9

abc: 13.3370 13.3370 13.3370
angles: 16.73 16.73 16.73
Fractional positions:
Na 0.1260 0.1260 0.1260
Na 0.8740 0.8740 0.8740
Sm 0.0000 0.0000 0.0000
Si 0.2625 0.2625 0.2625
Si 0.3835 0.3835 0.3835
Si 0.6165 0.6165 0.6165
Si 0.7375 0.7375 0.7375

***

For NaSi2Sn2, a DFT-relaxed cell (GGA-PBE, Alexandria) gives the computed XRD peak list in this record (Cu Kα X-rays).
Lines closer than 0.1° are merged.

The 6 most intense peaks (2θ = 15–90°), by angle:
2θ = 19.09°, d = 4.648 Å, intensity 57.8
2θ = 24.67°, d = 3.609 Å, intensity 32.2
2θ = 31.38°, d = 2.851 Å, intensity 100.0
2θ = 35.17°, d = 2.552 Å, intensity 55.7
2θ = 40.32°, d = 2.237 Å, intensity 35.8
2θ = 46.48°, d = 1.954 Å, intensity 36.9

abc: 5.8847 5.8847 5.8847
angles: 128.60 128.60 75.65
Fractional positions:
Na 0.0000 0.0000 0.0000
Si 0.3715 0.3715 0.0000
Si 0.6285 0.6285 0.0000
Sn 0.2500 0.7500 0.5000
Sn 0.7500 0.2500 0.5000

***

For Na2SiTc, a DFT-relaxed cell (GGA-PBE, Alexandria) gives the computed XRD peak list in this record (Cu Kα X-rays).
Lines closer than 0.1° are merged.

The 6 most intense peaks (2θ = 15–90°), by angle:
2θ = 21.14°, d = 4.203 Å, intensity 37.1
2θ = 21.79°, d = 4.079 Å, intensity 53.0
2θ = 30.54°, d = 2.927 Å, intensity 38.6
2θ = 31.01°, d = 2.884 Å, intensity 100.0
2θ = 39.95°, d = 2.257 Å, intensity 59.7
2θ = 51.42°, d = 1.777 Å, intensity 55.7

abc: 6.2679 6.2679 6.2679
angles: 98.80 98.80 133.94
Fractional positions:
Na 0.1055 0.6250 0.9805
Na 0.3750 0.3555 0.4805
Na 0.6445 0.1250 0.0195
Na 0.8750 0.8945 0.5195
Si 0.0000 0.0000 0.0000
Si 0.7500 0.2500 0.5000
Tc 0.2500 0.7500 0.5000
Tc 0.5000 0.5000 0.0000

***

For Na4SiTe4, a DFT-relaxed cell (GGA-PBE, Alexandria) gives the computed XRD peak list in this record (Cu Kα X-rays).
Lines closer than 0.1° are merged.

The 6 most intense peaks (2θ = 15–90°), by angle:
2θ = 22.49°, d = 3.954 Å, intensity 100.0
2θ = 27.88°, d = 3.200 Å, intensity 32.5
2θ = 34.16°, d = 2.625 Å, intensity 15.3
2θ = 35.10°, d = 2.557 Å, intensity 22.7
2θ = 38.54°, d = 2.336 Å, intensity 24.8
2θ = 42.96°, d = 2.106 Å, intensity 14.8

abc: 7.9809 7.9809 7.9809
angles: 124.57 124.57 82.25
Fractional positions:
Na 0.0000 0.5000 0.5000
Na 0.1783 0.1783 0.0000
Na 0.5000 0.0000 0.5000
Na 0.8217 0.8217 0.0000
Si 0.5000 0.5000 0.0000
Te 0.1772 0.1772 0.6117
Te 0.4345 0.8228 0.0000
Te 0.5655 0.5655 0.3883
Te 0.8228 0.4345 0.0000

***

For NaSi2Te4, a DFT-relaxed cell (GGA-PBE, Alexandria) gives the computed XRD peak list in this record (Cu Kα X-rays).
Lines closer than 0.1° are merged.

The 6 most intense peaks (2θ = 15–90°), by angle:
2θ = 27.11°, d = 3.289 Å, intensity 100.0
2θ = 34.52°, d = 2.598 Å, intensity 13.4
2θ = 43.51°, d = 2.080 Å, intensity 17.9
2θ = 45.26°, d = 2.003 Å, intensity 9.9
2θ = 46.15°, d = 1.967 Å, intensity 19.7
2θ = 47.94°, d = 1.897 Å, intensity 20.2

abc: 6.8487 6.8487 6.8487
angles: 103.29 103.29 122.70
Fractional positions:
Na 0.0000 0.0000 0.0000
Si 0.2500 0.7500 0.5000
Si 0.7500 0.2500 0.5000
Te 0.1760 0.6606 0.8366
Te 0.3394 0.1760 0.5155
Te 0.6606 0.8240 0.4845
Te 0.8240 0.3394 0.1634

***

For NaTl2Si2, a DFT-relaxed cell (GGA-PBE, Alexandria) gives the computed XRD peak list in this record (Cu Kα X-rays).
Lines closer than 0.1° are merged.

The 6 most intense peaks (2θ = 15–90°), by angle:
2θ = 20.97°, d = 4.236 Å, intensity 43.6
2θ = 23.25°, d = 3.826 Å, intensity 39.7
2θ = 26.04°, d = 3.422 Å, intensity 55.7
2θ = 31.51°, d = 2.839 Å, intensity 64.9
2θ = 33.67°, d = 2.662 Å, intensity 100.0
2θ = 49.11°, d = 1.855 Å, intensity 39.8

abc: 7.6522 7.6522 4.2359
angles: 90.00 90.00 90.00
Fractional positions:
Na 0.0000 0.0000 0.0000
Na 0.5000 0.5000 0.0000
Tl 0.1858 0.3142 0.5000
Tl 0.3142 0.8142 0.5000
Tl 0.6858 0.1858 0.5000
Tl 0.8142 0.6858 0.5000
Si 0.1075 0.6075 0.0000
Si 0.3925 0.1075 0.0000
Si 0.6075 0.8925 0.0000
Si 0.8925 0.3925 0.0000

***

For NaTlSi, a DFT-relaxed cell (GGA-PBE, Alexandria) gives the computed XRD peak list in this record (Cu Kα X-rays).
Lines closer than 0.1° are merged.

The 6 most intense peaks (2θ = 15–90°), by angle:
2θ = 19.35°, d = 4.586 Å, intensity 29.0
2θ = 19.94°, d = 4.453 Å, intensity 45.1
2θ = 23.77°, d = 3.744 Å, intensity 25.1
2θ = 30.83°, d = 2.900 Å, intensity 24.6
2θ = 31.21°, d = 2.866 Å, intensity 100.0
2θ = 39.60°, d = 2.276 Å, intensity 28.0

abc: 4.5904 3.7437 9.4517
angles: 90.00 103.97 90.00
Fractional positions:
Na 0.0000 0.0000 0.0000
Na 0.2032 0.0000 0.4084
Tl 0.6053 0.5000 0.2119
Tl 0.8154 0.5000 0.6282
Si 0.3746 0.0000 0.7462
Si 0.4502 0.5000 0.8994

***

For Na3ZnSi, a DFT-relaxed cell (GGA-PBE, Alexandria) gives the computed XRD peak list in this record (Cu Kα X-rays).
Lines closer than 0.1° are merged.

The 6 most intense peaks (2θ = 15–90°), by angle:
2θ = 20.03°, d = 4.434 Å, intensity 85.9
2θ = 27.15°, d = 3.285 Å, intensity 64.1
2θ = 31.60°, d = 2.831 Å, intensity 100.0
2θ = 32.65°, d = 2.743 Å, intensity 50.5
2θ = 35.08°, d = 2.558 Å, intensity 79.2
2θ = 38.10°, d = 2.362 Å, intensity 83.8

abc: 6.6149 6.6149 7.5598
angles: 115.37 115.37 84.18
Fractional positions:
Na 0.0171 0.0171 0.2392
Na 0.0871 0.4817 0.7584
Na 0.4817 0.0871 0.7584
Na 0.5183 0.9129 0.2416
Na 0.9129 0.5183 0.2416
Na 0.9829 0.9829 0.7608
Zn 0.3380 0.3380 0.1406
Zn 0.6620 0.6620 0.8594
Si 0.3827 0.3827 0.5129
Si 0.6173 0.6173 0.4871